Simulated powder diffraction line list
Compound: K2Na4Fe2O5
Radiation: Cu Kα (λ = 1.5418 Å)
Structure: DFT lattice parameters and positions (GGA+U)

Peak list (10 most intense, 2θ from 10° to 90°, low angle first)
two_theta  I/Imax  hkl
16.75  25.0  0 0 2
21.14  36.1  1 1 1
32.41  100.0  2 0 2
33.87  33.4  0 0 4
35.32  51.7  2 1 2
39.35  54.7  2 2 0
46.47  23.5  2 1 4
52.87  21.0  2 2 4
59.67  23.9  2 0 6
61.58  25.7  4 1 2

Crystal structure
abc: 6.477 6.477 10.588
angles: 90.00 90.00 90.00
Positions (direct):
K 0.190 0.190 0.000
K 0.310 0.690 0.500
K 0.690 0.310 0.500
K 0.810 0.810 0.000
Na 0.000 0.000 0.277
Na 0.000 0.000 0.723
Na 0.000 0.500 0.250
Na 0.000 0.500 0.750
Na 0.500 0.000 0.250
Na 0.500 0.000 0.750
Na 0.500 0.500 0.223
Na 0.500 0.500 0.777
Fe 0.209 0.209 0.500
Fe 0.291 0.709 0.000
Fe 0.709 0.291 0.000
Fe 0.791 0.791 0.500
O 0.000 0.000 0.500
O 0.208 0.792 0.162
O 0.208 0.792 0.838
O 0.292 0.292 0.338
O 0.292 0.292 0.662
O 0.500 0.500 0.000
O 0.708 0.708 0.338
O 0.708 0.708 0.662
O 0.792 0.208 0.162
O 0.792 0.208 0.838